Structure and computed powder diffraction line list of La5MnRe3O16 (a structure optimized by DFT (PBE+U); CuKα).
Intensities are scaled so that the largest is 100.

Principal peaks in the range 10 to 80 degrees two-theta, in order of rising 2θ:
2θ/deg  d [Å]  I_rel  hkl
18.36  4.832  39  0 1 1
28.14  3.172  100  1 -1 2
29.66  3.012  84  1 1 2
31.53  2.837  57  0 2 0
31.58  2.833  56  2 0 0
44.82  2.022  42  2 -2 0

Cell and atoms:
abc: 5.6776 5.6864 10.2642
angles: 93.62 93.48 90.75
Atoms (fractional coordinates):
La1 0.0000 0.0000 0.0000
La2 0.0328 0.5069 0.7072
La3 0.4864 0.9744 0.3009
La4 0.5136 0.0256 0.6991
La5 0.9672 0.4931 0.2928
Mn1 0.5000 0.5000 0.5000
Re1 0.0000 0.0000 0.5000
Re2 0.4453 0.4452 0.1059
Re3 0.5547 0.5548 0.8941
O1 0.0734 0.0775 0.6832
O2 0.1811 0.2871 0.4625
O3 0.2220 0.6965 0.1349
O4 0.2244 0.2190 0.1760
O5 0.2963 0.7710 0.8638
O6 0.3021 0.8111 0.4990
O7 0.3097 0.3049 0.9346
O8 0.4530 0.4521 0.6986
O9 0.5470 0.5479 0.3014
O10 0.6903 0.6951 0.0654
O11 0.6979 0.1889 0.5010
O12 0.7037 0.2290 0.1362
O13 0.7756 0.7810 0.8240
O14 0.7780 0.3035 0.8651
O15 0.8189 0.7129 0.5375
O16 0.9266 0.9225 0.3168